No. 1
Computed X-ray diffraction stick pattern of CaMg6VO8 for Cu Kα, from a crystal structure in the Materials Project, relaxed with PBE+U.
Peak positions follow from Bragg's law for the DFT cell and can differ from measured ones.

Largest 12 diffraction maxima, in order of falling intensity, 2θ = 15–90°:
41.17°, I = 100.0
59.70°, I = 84.5
41.29°, I = 49.1
35.49°, I = 28.5
75.12°, I = 25.4
20.27°, I = 12.7
71.35°, I = 10.2
28.82°, I = 10.2
89.37°, I = 7.7
71.53°, I = 5.0
89.70°, I = 3.7
51.07°, I = 3.3

Crystal structure
Unit cell a=4.3853 b=4.3853 c=8.7452 alpha=90.00 beta=90.00 gamma=90.00
Space group P4/mmm (No. 123)
Asymmetric unit:
Ca 0.0000 0.0000 0.0000 (multiplicity 1)
Mg 0.0000 0.5000 0.2555 (multiplicity 4)
Mg 0.5000 0.5000 0.0000 (multiplicity 1)
Mg 0.5000 0.5000 0.5000 (multiplicity 1)
V 0.0000 0.0000 0.5000 (multiplicity 1)
O 0.0000 0.0000 0.2587 (multiplicity 2)
O 0.0000 0.5000 0.0000 (multiplicity 2)
O 0.0000 0.5000 0.5000 (multiplicity 2)
O 0.5000 0.5000 0.2515 (multiplicity 2)

No. 2
Computed X-ray diffraction stick pattern of CaMgVO5 for Cu Kα, from a crystal structure in the Materials Project, relaxed with PBE+U.
Peak positions follow from Bragg's law for the DFT cell and can differ from measured ones.

Largest 12 diffraction maxima, in order of falling intensity, 2θ = 15–90°:
28.18°, I = 100.0
34.43°, I = 52.6
21.27°, I = 47.0
33.42°, I = 44.7
35.06°, I = 43.9
31.68°, I = 43.7
56.70°, I = 33.8
29.49°, I = 29.2
38.15°, I = 29.2
60.34°, I = 24.0
49.74°, I = 19.4
53.22°, I = 17.4

Crystal structure
Unit cell a=6.0569 b=7.4292 c=9.1594 alpha=90.00 beta=90.00 gamma=90.00
Space group P2_12_12_1 (No. 19)
Asymmetric unit:
Ca 0.0261 0.1294 0.1635 (multiplicity 4)
Mg 0.2458 0.2579 0.5047 (multiplicity 4)
V 0.0149 0.6192 0.6822 (multiplicity 4)
O 0.0054 0.1131 0.4125 (multiplicity 4)
O 0.0118 0.9357 0.9403 (multiplicity 4)
O 0.0774 0.7914 0.5651 (multiplicity 4)
O 0.2359 0.1523 0.7233 (multiplicity 4)
O 0.2451 0.6088 0.7980 (multiplicity 4)

No. 3
Computed X-ray diffraction stick pattern of CaMg6VO8 for Cu Kα, from a crystal structure in the Materials Project, relaxed with PBE+U.
Peak positions follow from Bragg's law for the DFT cell and can differ from measured ones.

Largest 12 diffraction maxima, in order of falling intensity, 2θ = 15–90°:
41.15°, I = 100.0
59.95°, I = 54.5
41.60°, I = 47.2
59.60°, I = 28.4
35.56°, I = 28.4
75.29°, I = 24.8
71.36°, I = 10.2
89.30°, I = 7.7
30.60°, I = 5.8
72.00°, I = 5.0
20.46°, I = 4.3
30.89°, I = 3.8

Crystal structure
Unit cell a=4.3878 b=4.3878 c=8.6835 alpha=90.00 beta=90.00 gamma=90.00
Space group P4/mmm (No. 123)
Asymmetric unit:
Ca 0.0000 0.0000 0.0000 (multiplicity 1)
Mg 0.0000 0.0000 0.5000 (multiplicity 1)
Mg 0.0000 0.5000 0.2573 (multiplicity 4)
Mg 0.5000 0.5000 0.5000 (multiplicity 1)
V 0.5000 0.5000 0.0000 (multiplicity 1)
O 0.0000 0.0000 0.2647 (multiplicity 2)
O 0.0000 0.5000 0.0000 (multiplicity 2)
O 0.0000 0.5000 0.5000 (multiplicity 2)
O 0.5000 0.5000 0.2554 (multiplicity 2)